1.
Diffraction record for PmEuO3. The X-ray diffraction stick pattern is computed, not measured: it uses a crystal structure in the Materials Project, relaxed with PBE and Cu Kα (weighted mean of Kα1 and Kα2).
Kinematic intensities with the Lorentz-polarization factor, no thermal factor.

Top 8 peaks for 15° ≤ 2θ ≤ 90°, sorted by position:
Position (°2θ)	d (Å)	intensity
28.38	3.145	1000
40.57	2.223	291
50.26	1.815	422
58.72	1.572	188
66.49	1.406	185
73.82	1.284	62
80.88	1.189	218
87.80	1.112	30

```
PmEuO3
1.0
4.447 0.000 0.000
0.000 4.447 0.000
0.000 0.000 4.447
Pm Eu O
1 1 3
direct
0.000 0.000 0.000
0.500 0.500 0.500
0.000 0.000 0.500
0.000 0.500 0.000
0.500 0.000 0.000
```

2.
Diffraction record for SrPrEuSbO6. The X-ray diffraction stick pattern is computed, not measured: it uses a crystal structure in the Materials Project, relaxed with PBE and Cu Kα (weighted mean of Kα1 and Kα2).
Kinematic intensities with the Lorentz-polarization factor, no thermal factor.

Top 8 peaks for 15° ≤ 2θ ≤ 90°, sorted by position:
Position (°2θ)	d (Å)	intensity
29.44	3.034	460
29.72	3.006	1000
29.92	2.986	990
30.23	2.956	470
42.68	2.118	707
52.67	1.738	211
53.25	1.720	217
53.64	1.709	237

```
SrPrEuSbO6
1.0
5.913 0.000 0.000
0.005 6.067 0.000
0.081 0.013 8.480
Sr Pr Eu Sb O
2 2 2 2 12
direct
0.012 0.453 0.251
0.988 0.547 0.749
0.000 0.000 0.000
0.500 0.500 0.500
0.487 0.952 0.248
0.513 0.048 0.752
0.000 0.000 0.500
0.500 0.500 0.000
0.104 0.968 0.728
0.179 0.723 0.446
0.225 0.686 0.051
0.276 0.184 0.445
0.323 0.220 0.055
0.404 0.462 0.772
0.596 0.538 0.228
0.677 0.780 0.945
0.724 0.816 0.555
0.775 0.314 0.949
0.821 0.277 0.554
0.896 0.032 0.272
```

3.
Diffraction record for SrPrEuSbO6. The X-ray diffraction stick pattern is computed, not measured: it uses a crystal structure in the Materials Project, relaxed with PBE and Cu Kα (weighted mean of Kα1 and Kα2).
Kinematic intensities with the Lorentz-polarization factor, no thermal factor.

Top 8 peaks for 15° ≤ 2θ ≤ 90°, sorted by position:
Position (°2θ)	d (Å)	intensity
29.63	3.015	1000
39.55	2.279	20
42.40	2.132	268
52.58	1.741	445
61.52	1.507	158
69.75	1.348	183
77.57	1.231	51
85.15	1.139	226

```
SrPrEuSbO6
1.0
8.523 0.000 0.000
0.000 8.529 0.000
0.000 0.000 8.529
Sr Pr Eu Sb O
4 4 4 4 24
direct
0.250 0.250 0.250
0.250 0.250 0.750
0.750 0.750 0.250
0.750 0.750 0.750
0.000 0.000 0.000
0.000 0.500 0.500
0.500 0.000 0.500
0.500 0.500 0.000
0.250 0.750 0.250
0.250 0.750 0.750
0.750 0.250 0.250
0.750 0.250 0.750
0.000 0.000 0.500
0.000 0.500 0.000
0.500 0.000 0.000
0.500 0.500 0.500
0.036 0.045 0.270
0.036 0.455 0.230
0.047 0.729 0.038
0.047 0.771 0.462
0.230 0.037 0.545
0.230 0.463 0.955
0.270 0.037 0.955
0.270 0.463 0.545
0.453 0.729 0.462
0.453 0.771 0.038
0.464 0.045 0.230
0.464 0.455 0.270
0.536 0.545 0.730
0.536 0.955 0.770
0.547 0.229 0.962
0.547 0.271 0.538
0.730 0.537 0.455
0.730 0.963 0.045
0.770 0.537 0.045
0.770 0.963 0.455
0.953 0.229 0.538
0.953 0.271 0.962
0.964 0.545 0.770
0.964 0.955 0.730
```

4.
Diffraction record for SrPrEuSbO6. The X-ray diffraction stick pattern is computed, not measured: it uses a crystal structure in the Materials Project, relaxed with PBE and Cu Kα (weighted mean of Kα1 and Kα2).
Kinematic intensities with the Lorentz-polarization factor, no thermal factor.

Top 8 peaks for 15° ≤ 2θ ≤ 90°, sorted by position:
Position (°2θ)	d (Å)	intensity
17.87	4.963	39
29.39	3.039	1000
42.05	2.149	301
52.13	1.755	406
60.97	1.520	187
69.11	1.359	182
76.83	1.241	62
84.31	1.149	216

```
SrPrEuSbO6
1.0
0.000 4.298 4.298
4.298 0.000 4.298
4.298 4.298 0.000
Sr Pr Eu Sb O
1 1 1 1 6
direct
0.000 0.000 0.000
0.250 0.250 0.250
0.500 0.500 0.500
0.750 0.750 0.750
0.518 0.518 0.982
0.518 0.982 0.518
0.518 0.982 0.982
0.982 0.518 0.518
0.982 0.518 0.982
0.982 0.982 0.518
```

Please write out number 1 again, unchanged.
Diffraction record for PmEuO3. The X-ray diffraction stick pattern is computed, not measured: it uses a crystal structure in the Materials Project, relaxed with PBE and Cu Kα (weighted mean of Kα1 and Kα2).
Kinematic intensities with the Lorentz-polarization factor, no thermal factor.

Top 8 peaks for 15° ≤ 2θ ≤ 90°, sorted by position:
Position (°2θ)	d (Å)	intensity
28.38	3.145	1000
40.57	2.223	291
50.26	1.815	422
58.72	1.572	188
66.49	1.406	185
73.82	1.284	62
80.88	1.189	218
87.80	1.112	30

```
PmEuO3
1.0
4.447 0.000 0.000
0.000 4.447 0.000
0.000 0.000 4.447
Pm Eu O
1 1 3
direct
0.000 0.000 0.000
0.500 0.500 0.500
0.000 0.000 0.500
0.000 0.500 0.000
0.500 0.000 0.000
```

Please write out number 4 again, unchanged.
Diffraction record for SrPrEuSbO6. The X-ray diffraction stick pattern is computed, not measured: it uses a crystal structure in the Materials Project, relaxed with PBE and Cu Kα (weighted mean of Kα1 and Kα2).
Kinematic intensities with the Lorentz-polarization factor, no thermal factor.

Top 8 peaks for 15° ≤ 2θ ≤ 90°, sorted by position:
Position (°2θ)	d (Å)	intensity
17.87	4.963	39
29.39	3.039	1000
42.05	2.149	301
52.13	1.755	406
60.97	1.520	187
69.11	1.359	182
76.83	1.241	62
84.31	1.149	216

```
SrPrEuSbO6
1.0
0.000 4.298 4.298
4.298 0.000 4.298
4.298 4.298 0.000
Sr Pr Eu Sb O
1 1 1 1 6
direct
0.000 0.000 0.000
0.250 0.250 0.250
0.500 0.500 0.500
0.750 0.750 0.750
0.518 0.518 0.982
0.518 0.982 0.518
0.518 0.982 0.982
0.982 0.518 0.518
0.982 0.518 0.982
0.982 0.982 0.518
```